Entry 1:
Starting from DFT lattice parameters and positions (GGA-PBE), the powder X-ray diffraction pattern of YTiCo2Ag was simulated for CuKα.

The 12 most intense peaks (2θ = 10–80°), low angle first:
Position (°2θ)  I (rel.)
17.4  23
18.7  100
26.6  29
32.0  50
35.3  59
38.0  96
40.2  28
42.7  24
52.8  70
54.8  31
56.5  20
66.9  33

Structure:
a b c (Å): 4.735 4.735 5.087
angles (deg): 90.00 90.00 90.00
Sites, in units of the cell vectors:
Y (0.000, 0.000, 0.000)
Ti (0.500, 0.500, 0.000)
Co (0.000, 0.500, 0.500)
Co (0.500, 0.000, 0.500)
Ag (0.000, 0.000, 0.500)

Entry 2:
Starting from DFT lattice parameters and positions (GGA-PBE), the powder X-ray diffraction pattern of SmDyZn10 was simulated for CuKα.

The 12 most intense peaks (2θ = 10–80°), low angle first:
Position (°2θ)  I (rel.)
28.6  43
33.6  30
39.0  35
40.0  100
42.8  26
44.8  9
55.5  14
57.1  8
59.3  20
64.4  16
70.8  11
76.5  18

Structure:
a b c (Å): 4.225 5.335 9.220
angles (deg): 90.00 90.00 90.00
Sites, in units of the cell vectors:
Sm (0.000, 0.000, 0.000)
Dy (0.000, 0.500, 0.500)
Zn (0.000, 0.000, 0.337)
Zn (0.000, 0.000, 0.663)
Zn (0.000, 0.500, 0.169)
Zn (0.000, 0.500, 0.831)
Zn (0.500, 0.000, 0.500)
Zn (0.500, 0.251, 0.252)
Zn (0.500, 0.251, 0.748)
Zn (0.500, 0.500, 0.000)
Zn (0.500, 0.749, 0.252)
Zn (0.500, 0.749, 0.748)

Entry 3:
Starting from DFT lattice parameters and positions (GGA-PBE), the powder X-ray diffraction pattern of Pm2Sn8Ru was simulated for CuKα.

The 12 most intense peaks (2θ = 10–80°), low angle first:
Position (°2θ)  I (rel.)
30.4  100
33.8  30
34.2  42
35.8  23
36.0  18
36.9  53
39.9  15
41.7  41
43.7  15
56.8  15
60.4  15
71.1  16

Structure:
a b c (Å): 10.595 10.595 6.748
angles (deg): 105.34 105.34 23.61
Sites, in units of the cell vectors:
Pm (0.185, 0.185, 0.109)
Pm (0.815, 0.815, 0.891)
Sn (0.017, 0.017, 0.774)
Sn (0.208, 0.208, 0.607)
Sn (0.372, 0.372, 0.236)
Sn (0.400, 0.400, 0.692)
Sn (0.600, 0.600, 0.308)
Sn (0.628, 0.628, 0.764)
Sn (0.792, 0.792, 0.393)
Sn (0.983, 0.983, 0.226)
Ru (0.500, 0.500, 0.500)